Theoretical powder XRD pattern of Pr4Sm2Te3N2 for Cu Ka, from a DFT-relaxed cell (PBE, Alexandria).
No peak broadening, texture or thermal motion is included.

Peak list (12 most intense, 10 to 80 degrees two-theta, in order of rising 2θ)
2theta	I/Imax
26.83	17.4
27.32	45.8
29.74	18.5
30.10	10.6
33.42	100.0
33.72	13.7
37.78	52.6
46.94	15.4
51.52	16.3
54.49	18.0
62.32	10.0
65.45	28.6

a b c (Å): 13.712 13.712 13.712
angles (deg): 160.00 160.00 28.44
Element x y z (fractional)
Pr: 0.083 0.583 0.500
Pr: 0.417 0.917 0.500
Pr: 0.583 0.083 0.500
Pr: 0.917 0.417 0.500
Sm: 0.194 0.194 0.000
Sm: 0.806 0.806 0.000
Te: 0.320 0.320 0.000
Te: 0.500 0.500 0.000
Te: 0.680 0.680 0.000
N: 0.110 0.110 0.000
N: 0.890 0.890 0.000